1.
Starting from DFT lattice parameters and positions (PBE), the powder XRD pattern of Rb3BrF12 was calculated for copper Kα.
Neutral-atom scattering factors, no anomalous dispersion.

Structural model:
```
Rb3BrF12
1.0
4.8672 -4.8442 0.0000
4.8672 4.8442 0.0000
-0.5567 0.0000 7.4902
Rb Br F
3 1 12
Direct
0.0000 0.0000 0.0000
0.0000 0.5000 0.5000
0.5000 0.0000 0.5000
0.0000 0.0000 0.5000
0.0882 0.6380 0.1855
0.2063 0.3879 0.1763
0.3618 0.5099 0.7078
0.3620 0.9118 0.8145
0.3879 0.2063 0.1763
0.4901 0.6382 0.2922
0.5099 0.3618 0.7078
0.6121 0.7937 0.8237
0.6380 0.0882 0.1855
0.6382 0.4901 0.2922
0.7937 0.6121 0.8237
0.9118 0.3620 0.8145
```

Top 10 peaks for 2θ = 10–90°, in order of rising 2θ:
2θ = 11.82°, d = 7.490 Å, rel. 35; 2θ = 12.91°, d = 6.857 Å, rel. 30; 2θ = 21.85°, d = 4.068 Å, rel. 26; 2θ = 25.99°, d = 3.429 Å, rel. 100; 2θ = 26.51°, d = 3.362 Å, rel. 64; 2θ = 29.08°, d = 3.071 Å, rel. 25; 2θ = 29.19°, d = 3.059 Å, rel. 53; 2θ = 34.53°, d = 2.598 Å, rel. 43; 2θ = 36.46°, d = 2.464 Å, rel. 36; 2θ = 37.09°, d = 2.424 Å, rel. 29

2.
Starting from DFT lattice parameters and positions (PBE), the powder XRD pattern of RbSbBrF3 was calculated for copper Kα.
Neutral-atom scattering factors, no anomalous dispersion.

Structural model:
```
RbSbBrF3
1.0
4.5652 0.0000 0.0000
-1.8433 7.6591 0.0000
-1.4406 -3.6258 8.2230
Rb Sb Br F
2 2 2 6
Direct
0.0119 0.1872 0.3471
0.9881 0.8128 0.6529
0.3193 0.6598 0.2090
0.6807 0.3402 0.7910
0.4366 0.2725 0.0690
0.5634 0.7275 0.9310
0.2221 0.2645 0.6996
0.3006 0.6206 0.4147
0.3945 0.9407 0.3161
0.6055 0.0593 0.6839
0.6994 0.3794 0.5853
0.7779 0.7355 0.3004
```

Top 10 peaks for 2θ = 10–90°, in order of rising 2θ:
2θ = 12.87°, d = 6.876 Å, rel. 44; 2θ = 23.20°, d = 3.835 Å, rel. 50; 2θ = 23.51°, d = 3.784 Å, rel. 39; 2θ = 25.42°, d = 3.504 Å, rel. 64; 2θ = 25.87°, d = 3.444 Å, rel. 98; 2θ = 27.63°, d = 3.228 Å, rel. 56; 2θ = 27.78°, d = 3.212 Å, rel. 79; 2θ = 29.82°, d = 2.996 Å, rel. 100; 2θ = 31.53°, d = 2.837 Å, rel. 37; 2θ = 37.65°, d = 2.389 Å, rel. 39